No. 1
This entry pairs a crystal structure of RbCO2 with its computed X-ray powder pattern. Radiation: copper Kα. Structure: a DFT-relaxed cell (PBE, Alexandria).
Lines closer than 0.1° are merged.

Principal peaks in the range 5° ≤ 2θ ≤ 70°, by intensity:
2θ = 27.4°, d 3.249, rel. 100.0; 2θ = 26.2°, d 3.397, rel. 51.9; 2θ = 38.4°, d 2.347, rel. 45.9; 2θ = 29.0°, d 3.077, rel. 44.7; 2θ = 27.8°, d 3.208, rel. 34.6; 2θ = 38.6°, d 2.333, rel. 33.6; 2θ = 20.5°, d 4.330, rel. 24.7; 2θ = 37.9°, d 2.376, rel. 24.6

Structural model:
```
RbCO2
1.0
6.9835 0.0000 0.0000
0.0000 6.7946 0.0000
-2.5690 0.0000 5.9819
Rb C O
4 4 8
direct
0.2191 0.0396 0.3388 Rb
0.2191 0.4604 0.8388 Rb
0.7809 0.5396 0.1612 Rb
0.7809 0.9604 0.6612 Rb
0.4018 0.5420 0.4000 C
0.4018 0.9580 0.9000 C
0.5982 0.0420 0.1000 C
0.5982 0.4580 0.6000 C
0.2241 0.0305 0.8685 O
0.2241 0.4695 0.3685 O
0.4341 0.6760 0.2815 O
0.4341 0.8240 0.7815 O
0.5659 0.1760 0.2185 O
0.5659 0.3240 0.7185 O
0.7759 0.5305 0.6315 O
0.7759 0.9695 0.1315 O
```



No. 2
This entry pairs a crystal structure of Rb4CO4 with its computed X-ray powder pattern. Radiation: copper Kα. Structure: a DFT-relaxed cell (PBE, Alexandria).
Lines closer than 0.1° are merged.

Principal peaks in the range 5° ≤ 2θ ≤ 70°, by intensity:
2θ = 27.0°, d 3.303, rel. 100.0; 2θ = 30.9°, d 2.892, rel. 84.2; 2θ = 25.8°, d 3.456, rel. 33.3; 2θ = 52.6°, d 1.739, rel. 32.0; 2θ = 45.1°, d 2.012, rel. 28.7; 2θ = 43.5°, d 2.080, rel. 28.2; 2θ = 38.3°, d 2.349, rel. 19.2; 2θ = 53.3°, d 1.718, rel. 16.0

Structural model:
```
Rb4CO4
1.0
4.0243 2.3234 3.4556
-4.0243 2.3234 3.4556
0.0000 -4.6468 3.4556
Rb C O
4 1 4
direct
0.0000 0.0000 0.0000 Rb
0.0128 0.5602 0.5602 Rb
0.5602 0.0128 0.5602 Rb
0.5602 0.5602 0.0128 Rb
0.2684 0.2684 0.2684 C
0.1243 0.1243 0.4181 O
0.1243 0.4181 0.1243 O
0.4084 0.4084 0.4084 O
0.4181 0.1243 0.1243 O
```



No. 3
This entry pairs a crystal structure of RbCO2 with its computed X-ray powder pattern. Radiation: copper Kα. Structure: a DFT-relaxed cell (PBE, Alexandria).
Lines closer than 0.1° are merged.

Principal peaks in the range 5° ≤ 2θ ≤ 70°, by intensity:
2θ = 29.0°, d 3.082, rel. 100.0; 2θ = 36.6°, d 2.455, rel. 67.2; 2θ = 32.0°, d 2.795, rel. 46.8; 2θ = 38.0°, d 2.367, rel. 41.7; 2θ = 27.1°, d 3.286, rel. 34.3; 2θ = 20.8°, d 4.275, rel. 26.6; 2θ = 55.1°, d 1.666, rel. 23.4; 2θ = 45.3°, d 2.001, rel. 21.4

Structural model:
```
RbCO2
1.0
6.4039 0.0000 0.0000
0.0000 11.4842 0.0000
0.0000 0.0000 3.6925
Rb C O
4 4 8
direct
0.0945 0.1519 0.0000 Rb
0.4055 0.6519 0.0000 Rb
0.5945 0.3481 0.0000 Rb
0.9055 0.8481 0.0000 Rb
0.0672 0.4416 0.5000 C
0.4328 0.9416 0.5000 C
0.5672 0.0584 0.5000 C
0.9328 0.5584 0.5000 C
0.0336 0.6539 0.5000 O
0.2356 0.9523 0.5000 O
0.2644 0.4523 0.5000 O
0.4664 0.1539 0.5000 O
0.5336 0.8461 0.5000 O
0.7356 0.5477 0.5000 O
0.7644 0.0477 0.5000 O
0.9664 0.3461 0.5000 O
```



No. 4
This entry pairs a crystal structure of Rb4CO4 with its computed X-ray powder pattern. Radiation: copper Kα. Structure: a DFT-relaxed cell (PBE, Alexandria).
Lines closer than 0.1° are merged.

Principal peaks in the range 5° ≤ 2θ ≤ 70°, by intensity:
2θ = 21.8°, d 4.074, rel. 100.0; 2θ = 35.2°, d 2.549, rel. 75.0; 2θ = 35.8°, d 2.509, rel. 60.7; 2θ = 32.0°, d 2.799, rel. 59.8; 2θ = 27.3°, d 3.268, rel. 58.0; 2θ = 28.0°, d 3.184, rel. 51.1; 2θ = 23.1°, d 3.853, rel. 50.1; 2θ = 31.0°, d 2.889, rel. 36.1

Structural model:
```
Rb4CO4
1.0
4.1896 -4.0736 0.0000
4.1896 4.0736 0.0000
-2.7920 0.0000 6.5351
Rb C O
4 1 4
direct
0.1523 0.6357 0.4855 Rb
0.2365 0.7635 0.0000 Rb
0.6357 0.1523 0.4855 Rb
0.7635 0.2365 0.0000 Rb
0.2264 0.2264 0.6995 C
0.0375 0.3239 0.7814 O
0.1343 0.1343 0.4762 O
0.3239 0.0375 0.7814 O
0.4107 0.4107 0.7516 O
```



No. 5
This entry pairs a crystal structure of Rb4C2O9 with its computed X-ray powder pattern. Radiation: copper Kα. Structure: a DFT-relaxed cell (PBE, Alexandria).
Lines closer than 0.1° are merged.

Principal peaks in the range 5° ≤ 2θ ≤ 70°, by intensity:
2θ = 27.8°, d 3.212, rel. 100.0; 2θ = 25.8°, d 3.452, rel. 74.3; 2θ = 31.8°, d 2.816, rel. 56.3; 2θ = 33.7°, d 2.658, rel. 44.4; 2θ = 25.5°, d 3.497, rel. 43.1; 2θ = 31.5°, d 2.837, rel. 38.7; 2θ = 16.6°, d 5.350, rel. 33.4; 2θ = 38.9°, d 2.317, rel. 24.2

Structural model:
```
Rb4C2O9
1.0
6.4954 -6.8593 0.0000
6.4954 6.8593 0.0000
-4.4267 0.0000 6.4302
Rb C O
8 4 18
direct
0.1619 0.8381 0.7500 Rb
0.2083 0.7917 0.2500 Rb
0.2656 0.4526 0.8016 Rb
0.4526 0.2656 0.3016 Rb
0.5474 0.7344 0.6984 Rb
0.7344 0.5474 0.1984 Rb
0.7917 0.2083 0.7500 Rb
0.8381 0.1619 0.2500 Rb
0.1489 0.4687 0.2762 C
0.4687 0.1489 0.7762 C
0.5313 0.8511 0.2238 C
0.8511 0.5313 0.7238 C
0.0098 0.3791 0.1907 O
0.0135 0.0614 0.5844 O
0.0614 0.0135 0.0844 O
0.2164 0.5792 0.4631 O
0.2215 0.4401 0.1524 O
0.3791 0.0098 0.6907 O
0.4149 0.5851 0.2500 O
0.4208 0.7836 0.0369 O
0.4401 0.2215 0.6524 O
0.5599 0.7785 0.3476 O
0.5792 0.2164 0.9631 O
0.5851 0.4149 0.7500 O
0.6209 0.9902 0.3093 O
0.7785 0.5599 0.8476 O
0.7836 0.4208 0.5369 O
0.9386 0.9865 0.9156 O
0.9865 0.9386 0.4156 O
0.9902 0.6209 0.8093 O
```



No. 6
This entry pairs a crystal structure of RbScC2O6 with its computed X-ray powder pattern. Radiation: copper Kα. Structure: a DFT-relaxed cell (PBE, Alexandria).
Lines closer than 0.1° are merged.

Principal peaks in the range 5° ≤ 2θ ≤ 70°, by intensity:
2θ = 28.2°, d 3.160, rel. 100.0; 2θ = 26.6°, d 3.354, rel. 73.5; 2θ = 43.1°, d 2.099, rel. 32.5; 2θ = 22.8°, d 3.901, rel. 23.0; 2θ = 21.7°, d 4.087, rel. 22.8; 2θ = 34.9°, d 2.574, rel. 20.0; 2θ = 45.8°, d 1.983, rel. 17.1; 2θ = 54.7°, d 1.677, rel. 15.0

Structural model:
```
RbScC2O6
1.0
4.3601 -4.7956 0.0000
4.3601 4.7956 0.0000
-2.4918 0.0000 6.7096
Rb Sc C O
2 2 4 12
direct
0.1050 0.8950 0.7500 Rb
0.8950 0.1050 0.2500 Rb
0.3353 0.6647 0.2500 Sc
0.6647 0.3353 0.7500 Sc
0.1862 0.4007 0.7952 C
0.4007 0.1862 0.2952 C
0.5993 0.8138 0.7048 C
0.8138 0.5993 0.2048 C
0.0153 0.6763 0.2895 O
0.2407 0.5739 0.9410 O
0.3024 0.3296 0.2291 O
0.3237 0.9847 0.2105 O
0.3296 0.3024 0.7291 O
0.4261 0.7593 0.5590 O
0.5739 0.2407 0.4410 O
0.6704 0.6976 0.2709 O
0.6763 0.0153 0.7895 O
0.6976 0.6704 0.7709 O
0.7593 0.4261 0.0590 O
0.9847 0.3237 0.7105 O
```



No. 7
This entry pairs a crystal structure of RbSiC2O8 with its computed X-ray powder pattern. Radiation: copper Kα. Structure: a DFT-relaxed cell (PBE, Alexandria).
Lines closer than 0.1° are merged.

Principal peaks in the range 5° ≤ 2θ ≤ 70°, by intensity:
2θ = 26.5°, d 3.359, rel. 100.0; 2θ = 28.7°, d 3.106, rel. 41.9; 2θ = 22.4°, d 3.965, rel. 31.4; 2θ = 40.9°, d 2.206, rel. 21.7; 2θ = 38.1°, d 2.362, rel. 21.5; 2θ = 43.8°, d 2.065, rel. 21.4; 2θ = 45.5°, d 1.994, rel. 18.7; 2θ = 44.5°, d 2.037, rel. 16.6

Structural model:
```
RbSiC2O8
1.0
3.7403 -2.3755 0.0000
3.7403 2.3755 0.0000
-2.1646 0.0000 7.9241
Rb Si C O
1 1 2 8
direct
0.0000 0.0000 0.0000 Rb
0.5000 0.5000 0.5000 Si
0.1934 0.1934 0.6687 C
0.8066 0.8066 0.3313 C
0.1597 0.6865 0.3386 O
0.2788 0.2788 0.5390 O
0.3106 0.3106 0.8237 O
0.3135 0.8403 0.6614 O
0.6865 0.1597 0.3386 O
0.6894 0.6894 0.1763 O
0.7212 0.7212 0.4610 O
0.8403 0.3135 0.6614 O
```



No. 8
This entry pairs a crystal structure of RbSr3C4O12 with its computed X-ray powder pattern. Radiation: copper Kα. Structure: a DFT-relaxed cell (PBE, Alexandria).
Lines closer than 0.1° are merged.

Principal peaks in the range 5° ≤ 2θ ≤ 70°, by intensity:
2θ = 26.4°, d 3.379, rel. 100.0; 2θ = 21.1°, d 4.201, rel. 35.0; 2θ = 41.5°, d 2.176, rel. 25.2; 2θ = 43.6°, d 2.077, rel. 24.5; 2θ = 33.4°, d 2.681, rel. 23.2; 2θ = 39.9°, d 2.260, rel. 15.2; 2θ = 66.8°, d 1.401, rel. 11.7; 2θ = 53.0°, d 1.728, rel. 11.4

Structural model:
```
RbSr3C4O12
1.0
5.3624 3.0960 3.2842
-5.3624 3.0960 3.2842
0.0000 -6.1920 3.2842
Rb Sr C O
1 3 4 12
direct
0.0000 0.0000 0.0000 Rb
0.0000 0.5303 0.4697 Sr
0.4697 0.0000 0.5303 Sr
0.5303 0.4697 0.0000 Sr
0.0256 0.5000 0.9744 C
0.5000 0.5000 0.5000 C
0.5000 0.9744 0.0256 C
0.9744 0.0256 0.5000 C
0.0030 0.1724 0.4128 O
0.0960 0.9040 0.5000 O
0.1724 0.4128 0.0030 O
0.3789 0.6211 0.5000 O
0.4128 0.0030 0.1724 O
0.5000 0.0960 0.9040 O
0.5000 0.3789 0.6211 O
0.5872 0.8276 0.9970 O
0.6211 0.5000 0.3789 O
0.8276 0.9970 0.5872 O
0.9040 0.5000 0.0960 O
0.9970 0.5872 0.8276 O
```



No. 9
This entry pairs a crystal structure of Rb2TmC2O6 with its computed X-ray powder pattern. Radiation: copper Kα. Structure: a DFT-relaxed cell (PBE, Alexandria).
Lines closer than 0.1° are merged.

Principal peaks in the range 5° ≤ 2θ ≤ 70°, by intensity:
2θ = 8.6°, d 10.283, rel. 100.0; 2θ = 25.9°, d 3.435, rel. 91.7; 2θ = 21.1°, d 4.213, rel. 74.7; 2θ = 43.0°, d 2.105, rel. 41.3; 2θ = 33.6°, d 2.666, rel. 31.0; 2θ = 40.0°, d 2.253, rel. 19.4; 2θ = 32.5°, d 2.752, rel. 19.2; 2θ = 53.2°, d 1.721, rel. 18.5

Structural model:
```
Rb2TmC2O6
1.0
5.3329 0.0000 0.0000
-2.6664 4.6184 0.0000
0.0000 0.0000 10.2830
Rb Tm C O
2 1 2 6
direct
0.3333 0.6667 0.2952 Rb
0.6667 0.3333 0.7048 Rb
0.0000 0.0000 0.0000 Tm
0.3333 0.6667 0.8756 C
0.6667 0.3333 0.1244 C
0.1931 0.3863 0.8733 O
0.1931 0.8069 0.8733 O
0.3863 0.1931 0.1267 O
0.6137 0.8069 0.8733 O
0.8069 0.1931 0.1267 O
0.8069 0.6137 0.1267 O
```



No. 10
This entry pairs a crystal structure of RuC4O4 with its computed X-ray powder pattern. Radiation: copper Kα. Structure: a DFT-relaxed cell (PBE, Alexandria).
Lines closer than 0.1° are merged.

Principal peaks in the range 5° ≤ 2θ ≤ 70°, by intensity:
2θ = 13.4°, d 6.619, rel. 100.0; 2θ = 12.0°, d 7.354, rel. 77.2; 2θ = 30.4°, d 2.940, rel. 30.6; 2θ = 32.8°, d 2.732, rel. 30.2; 2θ = 33.4°, d 2.687, rel. 20.8; 2θ = 21.7°, d 4.089, rel. 19.6; 2θ = 26.9°, d 3.310, rel. 18.6; 2θ = 45.3°, d 2.002, rel. 13.3

Structural model:
```
RuC4O4
1.0
-3.7062 7.3540 2.9397
3.7062 -7.3540 2.9397
3.7062 7.3540 -2.9397
Ru C O
2 8 8
direct
0.0000 0.0000 0.0000 Ru
0.5000 0.5000 0.0000 Ru
0.0555 0.7621 0.8176 C
0.1201 0.1098 0.2299 C
0.3799 0.6098 0.9897 C
0.4445 0.2621 0.7066 C
0.5555 0.7379 0.2934 C
0.6201 0.3902 0.0103 C
0.8799 0.8902 0.7701 C
0.9445 0.2379 0.1824 C
0.0887 0.6204 0.7091 O
0.1915 0.1756 0.3671 O
0.3085 0.6756 0.9841 O
0.4113 0.1204 0.5316 O
0.5887 0.8796 0.4684 O
0.6915 0.3244 0.0159 O
0.8085 0.8244 0.6329 O
0.9113 0.3796 0.2909 O
```



No. 11
This entry pairs a crystal structure of Sc6C2O with its computed X-ray powder pattern. Radiation: copper Kα. Structure: a DFT-relaxed cell (PBE, Alexandria).
Lines closer than 0.1° are merged.

Principal peaks in the range 5° ≤ 2θ ≤ 70°, by intensity:
2θ = 33.3°, d 2.688, rel. 100.0; 2θ = 38.5°, d 2.337, rel. 75.4; 2θ = 38.8°, d 2.320, rel. 36.9; 2θ = 55.7°, d 1.650, rel. 32.6; 2θ = 33.1°, d 2.703, rel. 31.9; 2θ = 56.0°, d 1.642, rel. 22.5; 2θ = 16.4°, d 5.407, rel. 22.4; 2θ = 66.5°, d 1.406, rel. 18.7

Structural model:
```
Sc6C2O
1.0
7.1657 -1.6502 0.0000
7.1657 1.6502 0.0000
-1.5759 0.0000 6.4267
Sc C O
6 2 1
direct
0.0047 0.0047 0.2417 Sc
0.3301 0.3301 0.4298 Sc
0.3373 0.3373 0.9052 Sc
0.6627 0.6627 0.0948 Sc
0.6699 0.6699 0.5702 Sc
0.9953 0.9953 0.7583 Sc
0.1636 0.1636 0.3271 C
0.8364 0.8364 0.6729 C
0.5000 0.5000 0.0000 O
```



No. 12
This entry pairs a crystal structure of Sc6CO3 with its computed X-ray powder pattern. Radiation: copper Kα. Structure: a DFT-relaxed cell (PBE, Alexandria).
Lines closer than 0.1° are merged.

Principal peaks in the range 5° ≤ 2θ ≤ 70°, by intensity:
2θ = 24.8°, d 3.588, rel. 100.0; 2θ = 30.1°, d 2.965, rel. 97.8; 2θ = 42.6°, d 2.122, rel. 64.5; 2θ = 39.4°, d 2.286, rel. 39.9; 2θ = 29.0°, d 3.078, rel. 34.0; 2θ = 39.7°, d 2.270, rel. 28.5; 2θ = 52.1°, d 1.755, rel. 27.4; 2θ = 16.8°, d 5.264, rel. 25.3

Structural model:
```
Sc6CO3
1.0
-3.5884 3.5884 3.8716
3.5884 -3.5884 3.8716
3.5884 3.5884 -3.8716
Sc C O
6 1 3
direct
0.1884 0.5000 0.6884 Sc
0.2296 0.2296 0.0000 Sc
0.5000 0.1884 0.6884 Sc
0.5000 0.8116 0.3116 Sc
0.7704 0.7704 0.0000 Sc
0.8116 0.5000 0.3116 Sc
0.5000 0.5000 0.0000 C
0.0000 0.0000 0.0000 O
0.2500 0.7500 0.5000 O
0.7500 0.2500 0.5000 O
```



What did the first record say?
This entry pairs a crystal structure of RbCO2 with its computed X-ray powder pattern. Radiation: copper Kα. Structure: a DFT-relaxed cell (PBE, Alexandria).
Lines closer than 0.1° are merged.

Principal peaks in the range 5° ≤ 2θ ≤ 70°, by intensity:
2θ = 27.4°, d 3.249, rel. 100.0; 2θ = 26.2°, d 3.397, rel. 51.9; 2θ = 38.4°, d 2.347, rel. 45.9; 2θ = 29.0°, d 3.077, rel. 44.7; 2θ = 27.8°, d 3.208, rel. 34.6; 2θ = 38.6°, d 2.333, rel. 33.6; 2θ = 20.5°, d 4.330, rel. 24.7; 2θ = 37.9°, d 2.376, rel. 24.6

Structural model:
```
RbCO2
1.0
6.9835 0.0000 0.0000
0.0000 6.7946 0.0000
-2.5690 0.0000 5.9819
Rb C O
4 4 8
direct
0.2191 0.0396 0.3388 Rb
0.2191 0.4604 0.8388 Rb
0.7809 0.5396 0.1612 Rb
0.7809 0.9604 0.6612 Rb
0.4018 0.5420 0.4000 C
0.4018 0.9580 0.9000 C
0.5982 0.0420 0.1000 C
0.5982 0.4580 0.6000 C
0.2241 0.0305 0.8685 O
0.2241 0.4695 0.3685 O
0.4341 0.6760 0.2815 O
0.4341 0.8240 0.7815 O
0.5659 0.1760 0.2185 O
0.5659 0.3240 0.7185 O
0.7759 0.5305 0.6315 O
0.7759 0.9695 0.1315 O
```